Theoretical powder XRD pattern
Compound: Li2V3TeO8
Radiation: Cu Kα
Structure: a DFT-relaxed cell (GGA+U, the Materials Project)

Cell and atoms:
Unit cell a=6.027 b=6.027 c=9.962 alpha=90.00 beta=90.00 gamma=120.00
Atoms (fractional coordinates):
Li1 0.000 0.000 0.000
Li2 0.000 0.000 0.500
Li3 0.333 0.667 0.411
Li4 0.667 0.333 0.911
V1 0.168 0.827 0.725
V2 0.173 0.341 0.725
V3 0.341 0.173 0.225
V4 0.659 0.832 0.725
V5 0.827 0.168 0.225
V6 0.832 0.659 0.225
Te1 0.333 0.667 0.001
Te2 0.667 0.333 0.501
O1 0.000 0.000 0.316
O2 0.000 0.000 0.816
O3 0.031 0.524 0.846
O4 0.152 0.319 0.104
O5 0.167 0.848 0.104
O6 0.319 0.152 0.604
O7 0.333 0.667 0.618
O8 0.476 0.506 0.846
O9 0.494 0.969 0.846
O10 0.506 0.476 0.346
O11 0.524 0.031 0.346
O12 0.667 0.333 0.118
O13 0.681 0.833 0.104
O14 0.833 0.681 0.604
O15 0.848 0.167 0.604
O16 0.969 0.494 0.346

Top 6 peaks for 2θ from 10° to 90°, by angle:
Position (°2θ), intensity
19.20, 100
24.71, 30
31.94, 40
34.79, 52
44.14, 26
58.27, 29

---

Theoretical powder XRD pattern
Compound: SmMgNiO3
Radiation: Cu Kα
Structure: a DFT-relaxed cell (GGA+U, the Materials Project)

Cell and atoms:
Unit cell a=3.750 b=3.750 c=6.811 alpha=90.00 beta=90.00 gamma=90.00
Atoms (fractional coordinates):
Sm1 0.000 0.000 0.000
Mg1 0.000 0.000 0.500
Ni1 0.500 0.500 0.500
O1 0.000 0.500 0.500
O2 0.500 0.000 0.500
O3 0.500 0.500 0.000

Top 6 peaks for 2θ from 10° to 90°, by angle:
Position (°2θ), intensity
26.17, 81
27.15, 100
33.80, 48
43.24, 49
48.56, 28
55.99, 35

---

Theoretical powder XRD pattern
Compound: CaW2O4
Radiation: Cu Kα
Structure: a DFT-relaxed cell (GGA+U, the Materials Project)

Cell and atoms:
Unit cell a=6.504 b=6.504 c=6.504 alpha=121.37 beta=117.31 gamma=91.18
Atoms (fractional coordinates):
Ca1 0.000 0.000 0.000
Ca2 0.500 0.000 0.500
W1 0.000 0.000 0.500
W2 0.000 0.500 0.000
W3 0.395 0.645 0.750
W4 0.605 0.355 0.250
O1 0.208 0.738 0.470
O2 0.233 0.262 0.970
O3 0.239 0.242 0.503
O4 0.239 0.736 0.997
O5 0.761 0.264 0.003
O6 0.761 0.758 0.497
O7 0.767 0.738 0.030
O8 0.792 0.262 0.530

Top 6 peaks for 2θ from 10° to 90°, by angle:
Position (°2θ), intensity
26.34, 35
27.46, 38
32.34, 26
32.62, 100
50.60, 27
56.68, 31

---

Theoretical powder XRD pattern
Compound: LiVF4
Radiation: Cu Kα
Structure: a DFT-relaxed cell (GGA+U, the Materials Project)

Cell and atoms:
Unit cell a=5.018 b=5.191 c=5.200 alpha=76.90 beta=89.64 gamma=88.86
Atoms (fractional coordinates):
Li1 0.002 0.288 0.213
Li2 0.998 0.712 0.787
V1 0.459 0.793 0.293
V2 0.541 0.207 0.707
F1 0.208 0.613 0.113
F2 0.260 0.029 0.517
F3 0.294 0.112 0.024
F4 0.296 0.531 0.613
F5 0.704 0.469 0.387
F6 0.706 0.888 0.976
F7 0.740 0.971 0.483
F8 0.792 0.387 0.887

Top 6 peaks for 2θ from 10° to 90°, by angle:
Position (°2θ), intensity
17.68, 100
21.85, 40
27.61, 34
28.01, 52
51.26, 30
51.88, 26